K2LiTaBr6: theoretical PXRD pattern (Cu Kα), based on a DFT-relaxed cell (PBE, the Materials Project).
Kinematic intensities with the Lorentz-polarization factor, no thermal factor.

Top 8 peaks for 2θ = 5–70°, in order of rising 2θ:
2θ 14.32, I = 61
2θ 16.55, I = 68
2θ 27.62, I = 32
2θ 28.88, I = 54
2θ 33.47, I = 100
2θ 37.56, I = 36
2θ 48.06, I = 70
2θ 59.83, I = 24

a = 7.5730 Å, b = 7.5730 Å, c = 7.5730 Å
α = 60.00°, β = 60.00°, γ = 60.00°
Positions (direct):
K 0.2500 0.2500 0.2500
K 0.7500 0.7500 0.7500
Li 0.0000 0.0000 0.0000
Ta 0.5000 0.5000 0.5000
Br 0.2544 0.2544 0.7456
Br 0.2544 0.7456 0.2544
Br 0.2544 0.7456 0.7456
Br 0.7456 0.2544 0.2544
Br 0.7456 0.2544 0.7456
Br 0.7456 0.7456 0.2544